(1)
Structure and computed PXRD pattern of AlCuOs (a DFT-relaxed cell (GGA-PBE, Alexandria); λ = 1.5418 Å (Cu Kα)).

Crystal structure
Lattice parameters (Å, degrees): 4.318 4.554 8.254 90.00 90.00 90.00
Positions (direct):
Al (0.250, 0.176, 0.000)
Al (0.250, 0.676, 0.500)
Al (0.750, 0.324, 0.500)
Al (0.750, 0.824, 0.000)
Cu (0.250, 0.159, 0.664)
Cu (0.250, 0.659, 0.164)
Cu (0.750, 0.341, 0.164)
Cu (0.750, 0.841, 0.664)
Os (0.250, 0.165, 0.332)
Os (0.250, 0.665, 0.832)
Os (0.750, 0.335, 0.832)
Os (0.750, 0.835, 0.332)

Principal peaks in the range 10 to 90 degrees two-theta, by angle:
d/Å, I (rel.)
4.127, 48
3.987, 24
2.929, 63
2.355, 24
2.159, 35
2.067, 100
2.014, 44
1.810, 17
1.591, 14
1.329, 14
1.228, 23
1.132, 18

---

(2)
Structure and computed PXRD pattern of Al4CuOs3 (a DFT-relaxed cell (GGA-PBE, Alexandria); λ = 1.5418 Å (Cu Kα)).

Crystal structure
Lattice parameters (Å, degrees): 3.082 4.195 8.476 90.00 90.00 90.00
Positions (direct):
Al (0.000, 0.000, 0.000)
Al (0.000, 0.000, 0.500)
Al (0.000, 0.500, 0.241)
Al (0.000, 0.500, 0.759)
Cu (0.500, 0.500, 0.500)
Os (0.500, 0.000, 0.263)
Os (0.500, 0.000, 0.737)
Os (0.500, 0.500, 0.000)

Principal peaks in the range 10 to 90 degrees two-theta, by angle:
d/Å, I (rel.)
3.082, 34
2.982, 62
2.143, 100
2.119, 23
2.098, 24
1.746, 13
1.734, 13
1.491, 15
1.369, 12
1.342, 11
1.228, 15
1.220, 16